Entry 1:
# Sr2CrTe
Simulated PXRD pattern, Cu Kα X-rays. Input: a GGA-PBE-relaxed structure.
Intensities are scaled so that the largest is 100.

Largest 12 diffraction maxima, by angle, 15 to 90 degrees two-theta:
hkl 1 1 1, 28.1°, intensity 100; hkl 0 0 4, 28.5°, intensity 19; hkl 0 1 3, 28.8°, intensity 43; hkl 1 0 4, 34.5°, intensity 38; hkl 1 1 3, 34.7°, intensity 67; hkl 2 0 0, 38.6°, intensity 26; hkl 0 2 0, 38.8°, intensity 26; hkl 2 1 3, 48.9°, intensity 28; hkl 1 2 4, 52.9°, intensity 22; hkl 0 1 7, 55.0°, intensity 18; hkl 2 2 0, 55.9°, intensity 17; hkl 2 1 7, 69.2°, intensity 18

```
data_Sr2CrTe
_symmetry_space_group_name_H-M 'A m m 2'
_symmetry_Int_Tables_number 38
_symmetry_space_group_name_Hall 'A 2 -2'
_cell_length_a 4.6633
_cell_length_b 4.6384
_cell_length_c 12.5235
_cell_angle_alpha 90.00
_cell_angle_beta 90.00
_cell_angle_gamma 90.00
loop_
_atom_site_label
_atom_site_fract_x
_atom_site_fract_y
_atom_site_fract_z
Sr1 0.0000 0.0000 0.0000
Sr2 0.5000 0.0000 0.2898
Cr1 0.5000 0.0000 0.5708
Te1 0.0000 0.0000 0.7131
```

Entry 2:
# TaCr
Simulated PXRD pattern, Cu Kα X-rays. Input: a GGA-PBE-relaxed structure.
Intensities are scaled so that the largest is 100.

Largest 12 diffraction maxima, by angle, 15 to 90 degrees two-theta:
hkl 0 1 -1, 22.5°, intensity 23; hkl 1 0 -2, 27.0°, intensity 26; hkl 0 0 3, 30.9°, intensity 23; hkl 2 1 1, 37.0°, intensity 29; hkl -1 2 1, 40.5°, intensity 100; hkl 1 2 -1, 40.8°, intensity 97; hkl 1 2 3, 41.0°, intensity 95; hkl 2 0 -2, 41.2°, intensity 92; hkl 2 0 2, 41.4°, intensity 91; hkl 0 0 4, 41.6°, intensity 86; hkl 3 2 1, 59.5°, intensity 88; hkl 3 2 5, 75.5°, intensity 26

```
data_TaCr
_symmetry_space_group_name_H-M 'P -1'
_symmetry_Int_Tables_number 2
_symmetry_space_group_name_Hall '-P 1'
_cell_length_a 5.1380
_cell_length_b 5.4631
_cell_length_c 9.0947
_cell_angle_alpha 72.75
_cell_angle_beta 87.34
_cell_angle_gamma 80.23
loop_
_atom_site_label
_atom_site_fract_x
_atom_site_fract_y
_atom_site_fract_z
Ta1 0.1149 0.2515 0.1351
Ta2 0.1417 0.5105 0.6190
Ta3 0.1466 0.7412 0.1361
Ta4 0.3743 0.0062 0.8588
Cr1 0.1265 0.0098 0.6086
Cr2 0.3761 0.7557 0.3860
Cr3 0.3790 0.5064 0.8703
Cr4 0.3834 0.2381 0.3888
```

Entry 3:
# TaCr4
Simulated PXRD pattern, Cu Kα X-rays. Input: a GGA-PBE-relaxed structure.
Intensities are scaled so that the largest is 100.

Largest 12 diffraction maxima, by angle, 15 to 90 degrees two-theta:
hkl 0 0 2, 18.6°, intensity 10; hkl 1 0 1, 25.1°, intensity 31; hkl 1 1 0, 33.2°, intensity 27; hkl 1 0 3, 36.8°, intensity 75; hkl 1 1 2, 38.3°, intensity 100; hkl 2 0 0, 47.7°, intensity 46; hkl 1 0 5, 53.7°, intensity 31; hkl 2 1 3, 61.7°, intensity 32; hkl 1 1 6, 68.5°, intensity 13; hkl 2 2 0, 69.7°, intensity 14; hkl 2 1 5, 74.6°, intensity 22; hkl 3 1 2, 82.5°, intensity 20

```
data_TaCr4
_symmetry_space_group_name_H-M 'I 4/m m m'
_symmetry_Int_Tables_number 139
_symmetry_space_group_name_Hall '-I 4 2'
_cell_length_a 3.8139
_cell_length_b 3.8139
_cell_length_c 9.5438
_cell_angle_alpha 90.00
_cell_angle_beta 90.00
_cell_angle_gamma 90.00
loop_
_atom_site_label
_atom_site_fract_x
_atom_site_fract_y
_atom_site_fract_z
Ta1 0.0000 0.0000 0.0000
Cr1 0.0000 0.0000 0.3830
Cr2 0.0000 0.5000 0.2500
```

Entry 4:
# TaCr7
Simulated PXRD pattern, Cu Kα X-rays. Input: a GGA-PBE-relaxed structure.
Intensities are scaled so that the largest is 100.

Largest 12 diffraction maxima, by angle, 15 to 90 degrees two-theta:
hkl 1 0 1, 15.2°, intensity 25; hkl 1 1 0, 21.6°, intensity 32; hkl 0 2 1, 26.5°, intensity 9; hkl 1 1 3, 34.3°, intensity 16; hkl 2 1 1, 34.4°, intensity 11; hkl 0 2 4, 43.7°, intensity 100; hkl 2 2 0, 43.9°, intensity 99; hkl 3 0 3, 46.7°, intensity 10; hkl 4 0 4, 63.7°, intensity 30; hkl 2 0 8, 80.2°, intensity 14; hkl 2 4 4, 80.6°, intensity 29; hkl 6 0 0, 80.8°, intensity 15

```
data_TaCr7
_symmetry_space_group_name_H-M 'R -3 m'
_symmetry_Int_Tables_number 166
_symmetry_space_group_name_Hall '-R 3 2"'
_cell_length_a 8.2437
_cell_length_b 8.2437
_cell_length_c 10.1658
_cell_angle_alpha 90.00
_cell_angle_beta 90.00
_cell_angle_gamma 120.00
loop_
_atom_site_label
_atom_site_fract_x
_atom_site_fract_y
_atom_site_fract_z
Ta1 0.0000 0.0000 0.1312
Cr1 0.0000 0.0000 0.3808
Cr2 0.0044 0.5022 0.3726
Cr3 0.0068 0.5034 0.1231
```

Entry 5:
# Ta5Cr11
Simulated PXRD pattern, Cu Kα X-rays. Input: a GGA-PBE-relaxed structure.
Intensities are scaled so that the largest is 100.

Largest 12 diffraction maxima, by angle, 15 to 90 degrees two-theta:
hkl 1 1 0, 20.8°, intensity 43; hkl 1 0 1, 20.9°, intensity 19; hkl 1 2 0, 33.2°, intensity 27; hkl 2 0 -2, 42.0°, intensity 50; hkl 0 2 2, 42.3°, intensity 100; hkl 2 2 0, 42.4°, intensity 99; hkl 2 0 2, 42.6°, intensity 49; hkl 0 0 4, 61.2°, intensity 16; hkl 0 4 0, 61.5°, intensity 31; hkl 2 2 -4, 76.9°, intensity 15; hkl 2 4 -2, 77.3°, intensity 16; hkl 2 4 2, 77.7°, intensity 31

```
data_Ta5Cr11
_symmetry_space_group_name_H-M 'P 1 m 1'
_symmetry_Int_Tables_number 6
_symmetry_space_group_name_Hall 'P -2y'
_cell_length_a 6.0260
_cell_length_b 6.0298
_cell_length_c 6.0626
_cell_angle_alpha 90.00
_cell_angle_beta 90.73
_cell_angle_gamma 90.00
loop_
_atom_site_label
_atom_site_fract_x
_atom_site_fract_y
_atom_site_fract_z
Ta1 0.0000 0.0000 0.0000
Ta2 0.0012 0.0000 0.5151
Ta3 0.4730 0.5000 0.5216
Ta4 0.7305 0.2540 0.2523
Cr1 0.2397 0.2555 0.2537
Cr2 0.2422 0.2549 0.7663
Cr3 0.4743 0.5000 0.0038
Cr4 0.4830 0.0000 0.9970
Cr5 0.4847 0.0000 0.5177
Cr6 0.7342 0.2534 0.7613
Cr7 0.9878 0.5000 0.5188
Cr8 0.9943 0.5000 0.0000
```

Entry 6:
# TaCr
Simulated PXRD pattern, Cu Kα X-rays. Input: a GGA-PBE-relaxed structure.
Intensities are scaled so that the largest is 100.

Largest 12 diffraction maxima, by angle, 15 to 90 degrees two-theta:
hkl 0 1 1, 22.8°, intensity 26; hkl 1 0 1, 30.6°, intensity 19; hkl 0 1 3, 36.7°, intensity 17; hkl 0 0 4, 40.5°, intensity 25; hkl 1 1 2, 41.2°, intensity 100; hkl 0 2 0, 41.7°, intensity 24; hkl 0 2 4, 59.5°, intensity 16; hkl 2 0 0, 59.8°, intensity 14; hkl 1 1 6, 74.1°, intensity 16; hkl 2 2 0, 75.5°, intensity 14; hkl 1 3 2, 75.7°, intensity 16; hkl 2 2 4, 89.4°, intensity 11

```
data_TaCr
_symmetry_space_group_name_H-M 'I m m a'
_symmetry_Int_Tables_number 74
_symmetry_space_group_name_Hall '-I 2b 2'
_cell_length_a 3.0942
_cell_length_b 4.3353
_cell_length_c 8.9176
_cell_angle_alpha 90.00
_cell_angle_beta 90.00
_cell_angle_gamma 90.00
loop_
_atom_site_label
_atom_site_fract_x
_atom_site_fract_y
_atom_site_fract_z
Ta1 0.0000 0.2500 0.1167
Cr1 0.0000 0.2500 0.6351
```

Entry 7:
# Ta4CrTc3
Simulated PXRD pattern, Cu Kα X-rays. Input: a GGA-PBE-relaxed structure.
Intensities are scaled so that the largest is 100.

Largest 8 diffraction maxima, by angle, 15 to 90 degrees two-theta:
hkl 1 0 0, 28.2°, intensity 14; hkl 1 0 3, 35.4°, intensity 1; hkl 1 1 0, 40.2°, intensity 100; hkl 1 1 4, 49.8°, intensity 4; hkl 2 0 0, 58.2°, intensity 17; hkl 2 1 0, 65.9°, intensity 6; hkl 2 1 4, 73.2°, intensity 34; hkl 2 2 0, 87.0°, intensity 11

```
data_Ta4CrTc3
_symmetry_space_group_name_H-M 'P 4/m m m'
_symmetry_Int_Tables_number 123
_symmetry_space_group_name_Hall '-P 4 2'
_cell_length_a 3.1685
_cell_length_b 3.1685
_cell_length_c 12.6778
_cell_angle_alpha 90.00
_cell_angle_beta 90.00
_cell_angle_gamma 90.00
loop_
_atom_site_label
_atom_site_fract_x
_atom_site_fract_y
_atom_site_fract_z
Ta1 0.0000 0.0000 0.1206
Ta2 0.0000 0.0000 0.3732
Cr1 0.5000 0.5000 0.0000
Tc1 0.5000 0.5000 0.2482
Tc2 0.5000 0.5000 0.5000
```

Entry 8:
# Ta4CrTe4
Simulated PXRD pattern, Cu Kα X-rays. Input: a GGA-PBE-relaxed structure.
Intensities are scaled so that the largest is 100.

Largest 12 diffraction maxima, by angle, 15 to 90 degrees two-theta:
hkl 2 0 0, 16.0°, intensity 55; hkl 0 4 0, 18.5°, intensity 42; hkl 3 2 1, 31.9°, intensity 48; hkl 2 5 1, 33.9°, intensity 46; hkl 1 6 1, 34.5°, intensity 100; hkl 3 4 1, 35.9°, intensity 40; hkl 0 0 2, 37.1°, intensity 85; hkl 4 1 1, 37.8°, intensity 46; hkl 4 3 1, 40.1°, intensity 99; hkl 2 7 1, 41.1°, intensity 67; hkl 0 4 2, 41.7°, intensity 32; hkl 1 8 1, 42.8°, intensity 27

```
data_Ta4CrTe4
_symmetry_space_group_name_H-M 'P b a m'
_symmetry_Int_Tables_number 55
_symmetry_space_group_name_Hall '-P 2 2ab'
_cell_length_a 11.0524
_cell_length_b 19.2462
_cell_length_c 4.8476
_cell_angle_alpha 90.00
_cell_angle_beta 90.00
_cell_angle_gamma 90.00
loop_
_atom_site_label
_atom_site_fract_x
_atom_site_fract_y
_atom_site_fract_z
Ta1 0.0641 0.1167 0.0000
Ta2 0.0986 0.8915 0.5000
Ta3 0.1894 0.0568 0.5000
Ta4 0.2039 0.9633 0.0000
Cr1 0.0000 0.0000 0.2499
Te1 0.1084 0.1983 0.5000
Te2 0.1545 0.4376 0.5000
Te3 0.1670 0.8159 0.0000
Te4 0.1785 0.5962 0.0000
```

Entry 9:
# TaV5Cr6
Simulated PXRD pattern, Cu Kα X-rays. Input: a GGA-PBE-relaxed structure.
Intensities are scaled so that the largest is 100.

Largest 12 diffraction maxima, by angle, 15 to 90 degrees two-theta:
hkl 0 1 1, 20.7°, intensity 6; hkl 1 0 -1, 22.5°, intensity 5; hkl 1 1 0, 27.1°, intensity 7; hkl 0 1 2, 32.4°, intensity 2; hkl 1 1 1, 34.0°, intensity 5; hkl 1 2 0, 38.0°, intensity 3; hkl 1 0 2, 42.1°, intensity 2; hkl 2 0 -1, 43.4°, intensity 100; hkl 0 4 0, 62.9°, intensity 5; hkl 2 0 2, 63.1°, intensity 10; hkl 2 4 -1, 79.5°, intensity 10; hkl 3 2 0, 79.7°, intensity 19

```
data_TaV5Cr6
_symmetry_space_group_name_H-M 'P 1 2/m 1'
_symmetry_Int_Tables_number 10
_symmetry_space_group_name_Hall '-P 2y'
_cell_length_a 4.1665
_cell_length_b 5.9105
_cell_length_c 6.5852
_cell_angle_alpha 90.00
_cell_angle_beta 108.37
_cell_angle_gamma 90.00
loop_
_atom_site_label
_atom_site_fract_x
_atom_site_fract_y
_atom_site_fract_z
Ta1 0.0000 0.0000 0.0000
V1 0.0000 0.5000 0.0000
V2 0.3307 0.0000 0.6614
V3 0.3328 0.5000 0.6655
Cr1 0.1702 0.2537 0.3403
Cr2 0.5000 0.2578 0.0000
```